[1]
The following is a simulated PXRD pattern of Li4Nd. It was derived from a GGA-PBE-relaxed structure, using Cu Kα X-rays.
No peak broadening, texture or thermal motion is included.

Structure:
a b c (Å): 5.808 5.808 5.808
angles (deg): 90.00 90.00 90.00
Space group Pm-3m (No. 221)
Symmetry-distinct sites (fractional):
Li1 0.000 0.000 0.000 [1 per cell]
Li2 0.000 0.500 0.500 [3 per cell]
Nd1 0.500 0.500 0.500 [1 per cell]

The 8 most intense peaks (10° ≤ 2θ ≤ 80°), most intense first:
d_spacing  I (rel.)  hkl
5.808  100  1 0 0
4.107  89  1 1 0
2.597  54  2 1 0
2.371  42  2 1 1
1.936  29  3 0 0
3.353  26  1 1 1
2.904  24  2 0 0
1.552  23  3 2 1



[2]
The following is a simulated PXRD pattern of LiNd. It was derived from a GGA-PBE-relaxed structure, using Cu Kα X-rays.
No peak broadening, texture or thermal motion is included.

Structure:
a b c (Å): 3.5496 3.5496 10.8757
angles (deg): 90.00 90.00 120.00
Space group P-3m1 (No. 164)
Symmetry-distinct sites (fractional):
Li1 0.3333 0.6667 0.1054 [2 per cell]
Nd1 0.3333 0.6667 0.6367 [2 per cell]

The 8 most intense peaks (10° ≤ 2θ ≤ 80°), most intense first:
d_spacing  I (rel.)  hkl
2.676  100  0 1 2
2.958  83  1 0 1
1.775  45  1 1 0
3.625  32  0 0 3
2.345  32  0 1 3
3.074  25  1 0 0
2.719  22  0 0 4
1.486  20  1 1 4



[3]
The following is a simulated PXRD pattern of Li3Nd. It was derived from a GGA-PBE-relaxed structure, using Cu Kα X-rays.
No peak broadening, texture or thermal motion is included.

Structure:
a b c (Å): 3.495 3.495 15.890
angles (deg): 90.00 90.00 90.00
Space group P4/nmm (No. 129, origin choice 2)
Symmetry-distinct sites (fractional):
Li1 0.250 0.250 0.053 [2 per cell]
Li2 0.250 0.250 0.265 [2 per cell]
Li3 0.250 0.250 0.838 [2 per cell]
Nd1 0.250 0.250 0.583 [2 per cell]

The 8 most intense peaks (10° ≤ 2θ ≤ 80°), most intense first:
d_spacing  I (rel.)  hkl
2.917  100  1 0 3
3.199  90  1 0 2
2.624  66  1 0 4
7.945  59  0 0 2
2.442  40  1 1 1
2.472  38  1 1 0
3.414  34  1 0 1
1.499  27  2 1 3



[4]
The following is a simulated PXRD pattern of LiNd3Ni. It was derived from a GGA-PBE-relaxed structure, using Cu Kα X-rays.
No peak broadening, texture or thermal motion is included.

Structure:
a b c (Å): 11.522 7.565 13.607
angles (deg): 90.00 109.59 90.00
Space group C2/c (No. 15)
Symmetry-distinct sites (fractional):
Li1 0.057 0.132 0.171 [8 per cell]
Nd1 0.041 0.267 0.564 [8 per cell]
Nd2 0.162 0.469 0.331 [8 per cell]
Nd3 0.220 0.079 0.889 [8 per cell]
Ni1 0.000 0.185 0.750 [4 per cell]
Ni2 0.250 0.250 0.500 [4 per cell]

The 8 most intense peaks (10° ≤ 2θ ≤ 80°), most intense first:
d_spacing  I (rel.)  hkl
3.103  100  2 2 0
2.868  84  4 0 -2
3.283  73  2 0 -4
2.606  61  3 1 2
5.208  48  1 1 1
3.259  48  0 2 2
3.030  44  2 2 -2
2.777  43  2 2 -3